Structure and theoretical powder diffraction line list of Mg6AlCu (a DFT-relaxed cell (GGA-PBE, the Materials Project); Cu Kα, 1.54184 Å).
Peak positions follow from Bragg's law for the DFT cell and can differ from measured ones.

Most intense lines, 2θ = 10–90°, most intense first:
2theta	d (Å)	intensity
38.56	2.335	100
39.02	2.309	48
36.95	2.433	37
33.67	2.662	27
73.40	1.290	18
67.65	1.385	17
60.88	1.522	16
50.85	1.796	16
16.65	5.323	16
73.82	1.284	13
34.19	2.623	13
24.79	3.591	11

Atomic structure:
a b c (Å): 4.865 6.087 6.087
angles (deg): 60.99 90.00 90.00
Fractional positions:
Mg 0.000 0.000 0.000
Mg 0.000 0.485 0.995
Mg 0.000 0.497 0.497
Mg 0.000 0.995 0.485
Mg 0.500 0.162 0.662
Mg 0.500 0.662 0.162
Al 0.500 0.660 0.660
Cu 0.500 0.160 0.160

---

Structure and theoretical powder diffraction line list of Mg6AlCu (a DFT-relaxed cell (GGA-PBE, the Materials Project); Cu Kα, 1.54184 Å).
Peak positions follow from Bragg's law for the DFT cell and can differ from measured ones.

Most intense lines, 2θ = 10–90°, most intense first:
2theta	d (Å)	intensity
38.68	2.328	100
33.87	2.646	26
36.75	2.445	26
16.75	5.293	19
67.48	1.388	18
50.84	1.796	16
73.06	1.295	12
60.65	1.527	11
24.79	3.592	11
74.19	1.278	9
72.93	1.297	6
34.61	2.592	6

Atomic structure:
a b c (Å): 4.891 6.108 6.108
angles (deg): 60.14 90.00 90.00
Fractional positions:
Mg 0.000 0.000 0.000
Mg 0.000 0.013 0.497
Mg 0.000 0.497 0.013
Mg 0.500 0.335 0.828
Mg 0.500 0.828 0.335
Mg 0.500 0.835 0.835
Al 0.000 0.496 0.496
Cu 0.500 0.336 0.336